# 1
Diffraction record for DyUSeO2. The powder diffractogram is simulated, not measured: it uses a DFT-relaxed cell (GGA-PBE, Alexandria) and Cu Kα.

Most intense lines, 2θ from 10° to 80°, by intensity:
2θ/deg  Rel. int.
32.18  100
33.15  44
58.60  37
24.41  25
47.58  21
56.75  17
44.86  16
58.31  9
78.72  8
79.26  8
67.32  8
78.47  8

a b c (Å): 6.658 6.658 6.658
angles (deg): 146.64 146.64 47.90
Fractional coordinates of all 5 atoms:
1 Dy 0.000 0.000 0.000
2 U 0.296 0.296 0.000
3 Se 0.651 0.651 0.000
4 O 0.403 0.903 0.500
5 O 0.903 0.403 0.500

---

# 2
Diffraction record for DyUSe2O. The powder diffractogram is simulated, not measured: it uses a DFT-relaxed cell (GGA-PBE, Alexandria) and Cu Kα.

Most intense lines, 2θ from 10° to 80°, by intensity:
2θ/deg  Rel. int.
31.95  100
25.87  61
34.29  58
41.37  46
45.81  42
25.59  34
29.65  28
58.45  26
51.11  24
12.71  21
53.20  19
53.36  18

a b c (Å): 3.962 3.962 13.924
angles (deg): 90.00 90.00 90.00
Fractional coordinates of all 10 atoms:
1 Dy 0.250 0.250 0.102
2 Dy 0.750 0.750 0.898
3 U 0.250 0.250 0.590
4 U 0.750 0.750 0.410
5 Se 0.250 0.250 0.309
6 Se 0.250 0.250 0.890
7 Se 0.750 0.750 0.110
8 Se 0.750 0.750 0.691
9 O 0.250 0.750 0.500
10 O 0.750 0.250 0.500

---

# 3
Diffraction record for SmDy2TcO8. The powder diffractogram is simulated, not measured: it uses a DFT-relaxed cell (GGA-PBE, Alexandria) and Cu Kα.

Most intense lines, 2θ from 10° to 80°, by intensity:
2θ/deg  Rel. int.
24.84  100
31.66  87
48.23  68
35.42  25
61.25  19
57.50  17
50.96  17
60.19  17
72.76  12
66.13  10
77.31  9
53.86  7

a b c (Å): 5.068 6.808 5.070
angles (deg): 90.00 90.08 90.00
Fractional coordinates of all 12 atoms:
1 Sm 0.000 0.000 0.000
2 Dy 0.500 0.249 0.500
3 Dy 0.500 0.751 0.500
4 Tc 0.000 0.500 0.000
5 O 0.184 0.296 0.818
6 O 0.184 0.704 0.818
7 O 0.265 0.500 0.267
8 O 0.312 0.000 0.313
9 O 0.688 0.000 0.687
10 O 0.735 0.500 0.733
11 O 0.816 0.296 0.182
12 O 0.816 0.704 0.182

---

# 4
Diffraction record for DySnO. The powder diffractogram is simulated, not measured: it uses a DFT-relaxed cell (GGA-PBE, Alexandria) and Cu Kα.

Most intense lines, 2θ from 10° to 80°, by intensity:
2θ/deg  Rel. int.
31.66  100
29.74  29
58.62  26
54.01  23
49.28  22
27.85  19
59.76  17
41.20  14
76.11  8
14.75  6
61.77  4
66.12  4

a b c (Å): 3.698 3.698 6.007
angles (deg): 90.00 90.00 120.00
Fractional coordinates of all 3 atoms:
1 Dy 0.000 0.000 0.000
2 Sn 0.667 0.333 0.500
3 O 0.333 0.667 0.000

---

# 5
Diffraction record for Dy2Sn2O7. The powder diffractogram is simulated, not measured: it uses a DFT-relaxed cell (GGA-PBE, Alexandria) and Cu Kα.

Most intense lines, 2θ from 10° to 80°, by intensity:
2θ/deg  Rel. int.
29.48  100
49.11  49
58.32  45
34.17  34
79.64  19
61.18  10
71.98  7
37.35  3
14.62  2
44.88  1
51.52  1
28.20  1

a b c (Å): 7.421 7.421 7.421
angles (deg): 60.00 60.00 60.00
Fractional coordinates of all 22 atoms:
1 Dy 0.000 0.000 0.000
2 Dy 0.000 0.000 0.500
3 Dy 0.000 0.500 0.000
4 Dy 0.500 0.000 0.000
5 Sn 0.000 0.500 0.500
6 Sn 0.500 0.000 0.500
7 Sn 0.500 0.500 0.000
8 Sn 0.500 0.500 0.500
9 O 0.125 0.125 0.125
10 O 0.161 0.161 0.589
11 O 0.161 0.589 0.161
12 O 0.161 0.589 0.589
13 O 0.411 0.411 0.839
14 O 0.411 0.839 0.411
15 O 0.411 0.839 0.839
16 O 0.589 0.161 0.161
17 O 0.589 0.161 0.589
18 O 0.589 0.589 0.161
19 O 0.839 0.411 0.411
20 O 0.839 0.411 0.839
21 O 0.839 0.839 0.411
22 O 0.875 0.875 0.875

---

# 6
Diffraction record for Tb4Dy2Sn3O2. The powder diffractogram is simulated, not measured: it uses a DFT-relaxed cell (GGA-PBE, Alexandria) and Cu Kα.

Most intense lines, 2θ from 10° to 80°, by intensity:
2θ/deg  Rel. int.
34.66  100
38.58  55
27.96  47
67.29  32
55.70  19
30.63  19
28.54  17
53.71  16
48.68  16
35.89  13
66.10  12
31.52  11

a b c (Å): 12.939 12.939 12.939
angles (deg): 159.22 159.22 29.56
Fractional coordinates of all 11 atoms:
1 Tb 0.084 0.584 0.500
2 Tb 0.416 0.916 0.500
3 Tb 0.584 0.084 0.500
4 Tb 0.916 0.416 0.500
5 Dy 0.194 0.194 0.000
6 Dy 0.806 0.806 0.000
7 Sn 0.321 0.321 0.000
8 Sn 0.500 0.500 0.000
9 Sn 0.679 0.679 0.000
10 O 0.100 0.100 0.000
11 O 0.900 0.900 0.000